CoC4N2Cl4: simulated PXRD pattern (Cu Ka), based on a crystal structure in the Materials Project, relaxed with PBE.

Unit cell a=7.6149 b=12.1949 c=15.1264 alpha=90.00 beta=92.09 gamma=90.00
Atoms (fractional coordinates):
Co: 0.1802 0.2057 0.0832
Co: 0.1802 0.2943 0.5832
Co: 0.8198 0.7057 0.4168
Co: 0.8198 0.7943 0.9168
C: 0.2277 0.5988 0.1585
C: 0.2277 0.9012 0.6585
C: 0.2286 0.5473 0.2275
C: 0.2286 0.9527 0.7275
C: 0.2940 0.0287 0.8775
C: 0.2940 0.4713 0.3775
C: 0.2937 0.7260 0.0358
C: 0.2937 0.7740 0.5358
C: 0.7063 0.2260 0.4642
C: 0.7063 0.2740 0.9642
C: 0.7060 0.5287 0.6225
C: 0.7060 0.9713 0.1225
C: 0.7714 0.0473 0.2725
C: 0.7714 0.4527 0.7725
C: 0.7723 0.0988 0.3415
C: 0.7723 0.4012 0.8415
N: 0.2513 0.6615 0.0907
N: 0.2513 0.8385 0.5907
N: 0.2520 0.5019 0.3046
N: 0.2520 0.9981 0.8046
N: 0.7480 0.0019 0.1954
N: 0.7480 0.4981 0.6954
N: 0.7487 0.1615 0.4093
N: 0.7487 0.3385 0.9093
Cl: 0.0497 0.7304 0.8583
Cl: 0.0497 0.7696 0.3583
Cl: 0.1754 0.0316 0.0877
Cl: 0.1754 0.4684 0.5877
Cl: 0.1904 0.2370 0.4494
Cl: 0.1904 0.2630 0.9494
Cl: 0.4074 0.2396 0.6572
Cl: 0.4074 0.2604 0.1572
Cl: 0.5926 0.7396 0.8428
Cl: 0.5926 0.7604 0.3428
Cl: 0.8096 0.7370 0.0506
Cl: 0.8096 0.7630 0.5506
Cl: 0.8246 0.5316 0.4123
Cl: 0.8246 0.9684 0.9123
Cl: 0.9503 0.2304 0.6417
Cl: 0.9503 0.2696 0.1417

Main lines, sorted by position (2θ from 5° to 70°):
2θ = 9.32°, d = 9.491 Å, intensity 29
2θ = 11.66°, d = 7.591 Å, intensity 34
2θ = 13.75°, d = 6.438 Å, intensity 100
2θ = 14.53°, d = 6.097 Å, intensity 44
2θ = 16.22°, d = 5.463 Å, intensity 36
2θ = 24.85°, d = 3.582 Å, intensity 23
2θ = 27.62°, d = 3.230 Å, intensity 23
2θ = 29.77°, d = 3.001 Å, intensity 32